(1)
Simulated powder diffraction line list
Compound: BaInSn2Au
Radiation: Cu Kα (weighted mean of Kα1 and Kα2)
Structure: a DFT-relaxed cell (GGA-PBE, OQMD)
Lines closer than 0.1° are merged.

Most intense lines, 10 to 90 degrees two-theta, in order of falling intensity:
2θ (°)	I (rel.)
29.6	100
35.7	94
29.3	75
40.4	49
46.9	41
51.4	34
43.3	33
57.3	29
60.4	27
19.3	26
67.3	22
25.0	21

Crystal structure
abc: 5.0275 5.0275 11.4869
angles: 90.00 90.00 90.00
Space group I4mm (No. 107)
Unique sites:
Ba 0.0000 0.0000 0.0000 [2 per cell]
In 0.0000 0.0000 0.6018 [2 per cell]
Sn 0.0000 0.5000 0.2518 [4 per cell]
Au 0.0000 0.0000 0.3650 [2 per cell]



(2)
Simulated powder diffraction line list
Compound: Pd4O11
Radiation: Cu Kα (weighted mean of Kα1 and Kα2)
Structure: a DFT-relaxed cell (GGA-PBE, OQMD)
Lines closer than 0.1° are merged.

Most intense lines, 10 to 90 degrees two-theta, in order of falling intensity:
2θ (°)	I (rel.)
21.4	100
38.7	88
25.6	82
37.3	66
37.9	61
25.7	46
25.4	36
19.1	34
55.9	23
35.0	21
47.3	19
48.5	18

Crystal structure
abc: 4.8785 5.3669 7.2732
angles: 104.20 95.11 109.92
Space group P1 (No. 1)
Unique sites:
Pd 0.0000 0.0000 0.0000 [1 per cell]
Pd 0.1602 0.4792 0.8426 [1 per cell]
Pd 0.4754 0.5239 0.4800 [1 per cell]
Pd 0.6371 0.9743 0.3445 [1 per cell]
O 0.0216 0.9233 0.2696 [1 per cell]
O 0.1025 0.5823 0.5680 [1 per cell]
O 0.2308 0.4080 0.0979 [1 per cell]
O 0.2795 0.0826 0.4030 [1 per cell]
O 0.3711 0.9140 0.9345 [1 per cell]
O 0.5414 0.4242 0.7741 [1 per cell]
O 0.6194 0.0517 0.0785 [1 per cell]
O 0.6724 0.9516 0.6203 [1 per cell]
O 0.7883 0.5618 0.9199 [1 per cell]
O 0.8515 0.4483 0.4250 [1 per cell]
O 0.9629 0.0447 0.7145 [1 per cell]